This entry pairs a crystal structure of ScNi15Sn4 with its calculated PXRD pattern. Radiation: Cu Ka. Structure: a cell relaxed with PBE.
Peak positions follow from Bragg's law for the DFT cell and can differ from measured ones.

Atomic structure:
Lattice parameters (Å, degrees): 3.7355 3.7355 18.5754 90.00 90.00 90.00
Fractional positions:
Sc  0.0000  0.0000  0.0000
Ni  0.0000  0.5000  0.0997
Ni  0.0000  0.5000  0.2992
Ni  0.0000  0.5000  0.5000
Ni  0.0000  0.5000  0.7008
Ni  0.0000  0.5000  0.9003
Ni  0.5000  0.0000  0.0997
Ni  0.5000  0.0000  0.2992
Ni  0.5000  0.0000  0.5000
Ni  0.5000  0.0000  0.7008
Ni  0.5000  0.0000  0.9003
Ni  0.5000  0.5000  0.0000
Ni  0.5000  0.5000  0.2004
Ni  0.5000  0.5000  0.3995
Ni  0.5000  0.5000  0.6005
Ni  0.5000  0.5000  0.7996
Sn  0.0000  0.0000  0.1987
Sn  0.0000  0.0000  0.3997
Sn  0.0000  0.0000  0.6003
Sn  0.0000  0.0000  0.8013

Top 8 peaks for 15° ≤ 2θ ≤ 90°, sorted by position:
h k l, 2θ/deg, I (rel.)
1 1 0, 34.0, 4.9
1 1 5, 42.0, 100.0
2 0 0, 48.8, 31.9
0 0 10, 49.0, 15.8
2 2 0, 71.4, 9.7
2 0 10, 71.7, 19.3
3 1 5, 86.4, 23.5
1 1 15, 86.9, 11.6